(1)
The following is a calculated XRD peak list of Ce4Pr3Se8. It was derived from a structure optimized by DFT (PBE), using Cu Kα.
Neutral-atom scattering factors, no anomalous dispersion.

Largest 10 diffraction maxima, in order of rising 2θ, 15 to 90 degrees two-theta:
- 21.01°, I = 4
- 24.69°, I = 5
- 25.81°, I = 9
- 29.88°, I = 100
- 42.77°, I = 75
- 50.63°, I = 4
- 53.05°, I = 26
- 62.09°, I = 12
- 70.42°, I = 34
- 78.33°, I = 25

Structure:
Lattice parameters (Å, degrees): 8.457 8.457 8.452 119.98 119.98 90.01
Sites, in units of the cell vectors:
Ce: 0.000 0.000 0.000
Ce: 0.000 0.000 0.500
Ce: 0.000 0.500 0.000
Ce: 0.500 0.000 0.000
Pr: 0.000 0.500 0.500
Pr: 0.500 0.000 0.500
Pr: 0.500 0.500 0.500
Se: 0.248 0.752 0.500
Se: 0.249 0.249 0.502
Se: 0.250 0.250 0.997
Se: 0.251 0.749 0.000
Se: 0.749 0.251 0.000
Se: 0.750 0.750 0.003
Se: 0.751 0.751 0.498
Se: 0.752 0.248 0.500

=====

(2)
The following is a calculated XRD peak list of Ag4Sn3S8. It was derived from a structure optimized by DFT (PBE), using Cu Kα.
Neutral-atom scattering factors, no anomalous dispersion.

Largest 10 diffraction maxima, in order of rising 2θ, 15 to 90 degrees two-theta:
- 19.96°, I = 8
- 28.38°, I = 52
- 32.88°, I = 100
- 47.19°, I = 65
- 55.98°, I = 23
- 58.71°, I = 20
- 68.95°, I = 9
- 76.17°, I = 9
- 78.52°, I = 22
- 87.78°, I = 16

Structure:
Lattice parameters (Å, degrees): 10.896 10.896 10.896 90.00 90.00 90.00
Sites, in units of the cell vectors:
Ag: 0.108 0.125 0.858
Ag: 0.125 0.625 0.875
Ag: 0.125 0.858 0.108
Ag: 0.142 0.608 0.375
Ag: 0.358 0.392 0.875
Ag: 0.375 0.142 0.608
Ag: 0.375 0.375 0.375
Ag: 0.392 0.875 0.358
Ag: 0.608 0.375 0.142
Ag: 0.625 0.642 0.892
Ag: 0.625 0.875 0.125
Ag: 0.642 0.892 0.625
Ag: 0.858 0.108 0.125
Ag: 0.875 0.125 0.625
Ag: 0.875 0.358 0.392
Ag: 0.892 0.625 0.642
Sn: 0.116 0.366 0.125
Sn: 0.125 0.116 0.366
Sn: 0.134 0.875 0.616
Sn: 0.366 0.125 0.116
Sn: 0.375 0.884 0.866
Sn: 0.384 0.634 0.625
Sn: 0.616 0.134 0.875
Sn: 0.625 0.384 0.634
Sn: 0.634 0.625 0.384
Sn: 0.866 0.375 0.884
Sn: 0.875 0.616 0.134
Sn: 0.884 0.866 0.375
S: 0.103 0.363 0.888
S: 0.112 0.603 0.137
S: 0.113 0.353 0.362
S: 0.123 0.123 0.123
S: 0.127 0.873 0.373
S: 0.137 0.112 0.603
S: 0.138 0.887 0.853
S: 0.147 0.638 0.613
S: 0.353 0.362 0.113
S: 0.362 0.113 0.353
S: 0.363 0.888 0.103
S: 0.373 0.127 0.873
S: 0.377 0.877 0.623
S: 0.387 0.647 0.862
S: 0.388 0.397 0.637
S: 0.397 0.637 0.388
S: 0.603 0.137 0.112
S: 0.612 0.897 0.863
S: 0.613 0.147 0.638
S: 0.623 0.377 0.877
S: 0.627 0.627 0.627
S: 0.637 0.388 0.397
S: 0.638 0.613 0.147
S: 0.647 0.862 0.387
S: 0.853 0.138 0.887
S: 0.862 0.387 0.647
S: 0.863 0.612 0.897
S: 0.873 0.373 0.127
S: 0.877 0.623 0.377
S: 0.887 0.853 0.138
S: 0.888 0.103 0.363
S: 0.897 0.863 0.612

=====

(3)
The following is a calculated XRD peak list of RbInSnBr4. It was derived from a structure optimized by DFT (PBE), using Cu Kα.
Neutral-atom scattering factors, no anomalous dispersion.

Largest 10 diffraction maxima, in order of rising 2θ, 15 to 90 degrees two-theta:
- 21.46°, I = 59
- 23.90°, I = 32
- 30.11°, I = 36
- 30.36°, I = 41
- 30.53°, I = 100
- 31.53°, I = 32
- 43.60°, I = 30
- 43.72°, I = 37
- 44.46°, I = 48
- 54.89°, I = 26

Structure:
Lattice parameters (Å, degrees): 5.856 5.856 17.027 90.00 90.00 90.00
Sites, in units of the cell vectors:
Rb: 0.000 0.000 0.000
Rb: 0.500 0.500 0.500
In: 0.000 0.000 0.720
In: 0.500 0.500 0.220
Sn: 0.000 0.000 0.364
Sn: 0.500 0.500 0.864
Br: 0.000 0.000 0.199
Br: 0.000 0.000 0.551
Br: 0.000 0.500 0.371
Br: 0.000 0.500 0.871
Br: 0.500 0.000 0.371
Br: 0.500 0.000 0.871
Br: 0.500 0.500 0.051
Br: 0.500 0.500 0.699

=====

(4)
The following is a calculated XRD peak list of HgPtCl2. It was derived from a structure optimized by DFT (PBE), using Cu Kα.
Neutral-atom scattering factors, no anomalous dispersion.

Largest 10 diffraction maxima, in order of rising 2θ, 15 to 90 degrees two-theta:
- 23.74°, I = 78
- 25.87°, I = 41
- 30.18°, I = 29
- 35.15°, I = 100
- 42.29°, I = 39
- 48.25°, I = 15
- 49.58°, I = 38
- 55.22°, I = 18
- 58.65°, I = 15
- 74.27°, I = 14

Structure:
Lattice parameters (Å, degrees): 3.468 7.496 8.732 90.00 90.00 90.00
Sites, in units of the cell vectors:
Hg: 0.000 0.000 0.000
Hg: 0.500 0.500 0.000
Pt: 0.000 0.500 0.769
Pt: 0.500 0.000 0.769
Cl: 0.000 0.000 0.595
Cl: 0.000 0.500 0.215
Cl: 0.500 0.000 0.215
Cl: 0.500 0.500 0.595

=====

(5)
The following is a calculated XRD peak list of TbY3Ir4. It was derived from a structure optimized by DFT (PBE), using Cu Kα.
Neutral-atom scattering factors, no anomalous dispersion.

Largest 10 diffraction maxima, in order of rising 2θ, 15 to 90 degrees two-theta:
- 25.50°, I = 10
- 36.38°, I = 54
- 37.32°, I = 100
- 52.40°, I = 19
- 55.20°, I = 8
- 66.08°, I = 38
- 67.92°, I = 17
- 79.58°, I = 11
- 88.54°, I = 9
- 89.10°, I = 9

Structure:
Lattice parameters (Å, degrees): 3.328 4.939 9.878 90.00 90.00 90.00
Sites, in units of the cell vectors:
Tb: 0.000 0.000 0.000
Y: 0.000 0.000 0.500
Y: 0.000 0.500 0.250
Y: 0.000 0.500 0.750
Ir: 0.500 0.000 0.250
Ir: 0.500 0.000 0.750
Ir: 0.500 0.500 0.000
Ir: 0.500 0.500 0.500

=====

(6)
The following is a calculated XRD peak list of YHRhAu2. It was derived from a structure optimized by DFT (PBE), using Cu Kα.
Neutral-atom scattering factors, no anomalous dispersion.

Largest 10 diffraction maxima, in order of rising 2θ, 15 to 90 degrees two-theta:
- 22.44°, I = 9
- 28.33°, I = 10
- 36.44°, I = 100
- 40.50°, I = 38
- 45.81°, I = 13
- 58.61°, I = 13
- 62.78°, I = 21
- 71.02°, I = 29
- 77.42°, I = 11
- 78.55°, I = 11

Structure:
Lattice parameters (Å, degrees): 4.455 4.455 3.961 90.00 90.00 90.00
Sites, in units of the cell vectors:
Y: 0.000 0.000 0.000
H: 0.500 0.500 0.500
Rh: 0.500 0.500 0.000
Au: 0.000 0.500 0.500
Au: 0.500 0.000 0.500

=====

(7)
The following is a calculated XRD peak list of NaLiReN3. It was derived from a structure optimized by DFT (PBE), using Cu Kα.
Neutral-atom scattering factors, no anomalous dispersion.

Largest 10 diffraction maxima, in order of rising 2θ, 15 to 90 degrees two-theta:
- 17.04°, I = 36
- 18.34°, I = 100
- 23.97°, I = 32
- 32.78°, I = 17
- 33.81°, I = 38
- 36.18°, I = 24
- 36.51°, I = 17
- 38.54°, I = 14
- 40.89°, I = 13
- 50.86°, I = 15

Structure:
Lattice parameters (Å, degrees): 5.892 5.892 5.355 93.90 93.90 124.11
Sites, in units of the cell vectors:
Na: 0.229 0.771 0.750
Na: 0.771 0.229 0.250
Li: 0.073 0.927 0.250
Li: 0.927 0.073 0.750
Re: 0.441 0.559 0.250
Re: 0.559 0.441 0.750
N: 0.241 0.290 0.497
N: 0.272 0.728 0.250
N: 0.290 0.241 0.997
N: 0.710 0.759 0.003
N: 0.728 0.272 0.750
N: 0.759 0.710 0.503

=====

(8)
The following is a calculated XRD peak list of Ce4PuSn. It was derived from a structure optimized by DFT (PBE), using Cu Kα.
Neutral-atom scattering factors, no anomalous dispersion.

Largest 10 diffraction maxima, in order of rising 2θ, 15 to 90 degrees two-theta:
- 32.87°, I = 39
- 33.99°, I = 32
- 34.17°, I = 33
- 34.69°, I = 100
- 47.56°, I = 15
- 49.44°, I = 14
- 61.49°, I = 12
- 62.40°, I = 11
- 62.70°, I = 12
- 66.65°, I = 11

Structure:
Lattice parameters (Å, degrees): 8.128 8.927 5.260 90.00 126.43 90.00
Sites, in units of the cell vectors:
Ce: 0.249 0.163 0.225
Ce: 0.249 0.837 0.225
Ce: 0.251 0.337 0.775
Ce: 0.251 0.663 0.775
Ce: 0.749 0.337 0.225
Ce: 0.749 0.663 0.225
Ce: 0.751 0.163 0.775
Ce: 0.751 0.837 0.775
Pu: 0.000 0.500 0.000
Pu: 0.500 0.000 0.000
Sn: 0.000 0.000 0.500
Sn: 0.500 0.500 0.500

=====

(9)
The following is a calculated XRD peak list of TbSi2Ni10. It was derived from a structure optimized by DFT (PBE), using Cu Kα.
Neutral-atom scattering factors, no anomalous dispersion.

Largest 10 diffraction maxima, in order of rising 2θ, 15 to 90 degrees two-theta:
- 30.52°, I = 43
- 30.96°, I = 44
- 34.95°, I = 34
- 37.31°, I = 26
- 43.09°, I = 65
- 43.73°, I = 57
- 43.88°, I = 63
- 44.28°, I = 100
- 44.82°, I = 41
- 49.60°, I = 52

Structure:
Lattice parameters (Å, degrees): 6.293 6.293 6.293 135.76 100.01 96.30
Sites, in units of the cell vectors:
Tb: 0.000 0.000 0.000
Si: 0.345 0.345 0.000
Si: 0.655 0.655 0.000
Ni: 0.000 0.000 0.500
Ni: 0.000 0.500 0.000
Ni: 0.226 0.726 0.500
Ni: 0.256 0.500 0.756
Ni: 0.350 0.000 0.350
Ni: 0.500 0.000 0.000
Ni: 0.500 0.500 0.500
Ni: 0.650 0.000 0.650
Ni: 0.744 0.500 0.244
Ni: 0.774 0.274 0.500

=====

(10)
The following is a calculated XRD peak list of RbIn2Pd. It was derived from a structure optimized by DFT (PBE), using Cu Kα.
Neutral-atom scattering factors, no anomalous dispersion.

Largest 10 diffraction maxima, in order of rising 2θ, 15 to 90 degrees two-theta:
- 26.71°, I = 39
- 28.11°, I = 78
- 31.20°, I = 42
- 37.97°, I = 100
- 38.35°, I = 20
- 40.39°, I = 43
- 47.03°, I = 49
- 50.72°, I = 42
- 65.08°, I = 19
- 77.89°, I = 23

Structure:
Lattice parameters (Å, degrees): 4.739 4.739 20.026 90.00 90.00 120.00
Sites, in units of the cell vectors:
Rb: 0.000 0.000 0.000
Rb: 0.333 0.667 0.667
Rb: 0.667 0.333 0.333
In: 0.000 0.000 0.197
In: 0.000 0.000 0.803
In: 0.333 0.667 0.469
In: 0.333 0.667 0.864
In: 0.667 0.333 0.136
In: 0.667 0.333 0.531
Pd: 0.000 0.000 0.500
Pd: 0.333 0.667 0.167
Pd: 0.667 0.333 0.833

=====

(11)
The following is a calculated XRD peak list of Ti2AlV2. It was derived from a structure optimized by DFT (PBE), using Cu Kα.
Neutral-atom scattering factors, no anomalous dispersion.

Largest 10 diffraction maxima, in order of rising 2θ, 15 to 90 degrees two-theta:
- 23.63°, I = 13
- 39.63°, I = 100
- 42.03°, I = 66
- 59.14°, I = 22
- 59.33°, I = 10
- 71.91°, I = 15
- 73.55°, I = 22
- 79.34°, I = 6
- 85.37°, I = 9
- 87.14°, I = 6

Structure:
Lattice parameters (Å, degrees): 4.549 4.549 12.826 90.00 90.00 120.00
Sites, in units of the cell vectors:
Ti: 0.000 0.000 0.216
Ti: 0.000 0.000 0.784
Ti: 0.333 0.667 0.451
Ti: 0.333 0.667 0.882
Ti: 0.667 0.333 0.118
Ti: 0.667 0.333 0.549
Al: 0.000 0.000 0.000
Al: 0.333 0.667 0.667
Al: 0.667 0.333 0.333
V: 0.000 0.000 0.416
V: 0.000 0.000 0.584
V: 0.333 0.667 0.083
V: 0.333 0.667 0.250
V: 0.667 0.333 0.750
V: 0.667 0.333 0.917

=====

(12)
The following is a calculated XRD peak list of Tc2NiRh. It was derived from a structure optimized by DFT (PBE), using Cu Kα.
Neutral-atom scattering factors, no anomalous dispersion.

Largest 10 diffraction maxima, in order of rising 2θ, 15 to 90 degrees two-theta:
- 34.97°, I = 2
- 35.81°, I = 3
- 41.34°, I = 100
- 47.23°, I = 16
- 48.54°, I = 31
- 70.05°, I = 19
- 71.09°, I = 10
- 83.74°, I = 11
- 85.70°, I = 23
- 89.81°, I = 10

Structure:
Lattice parameters (Å, degrees): 2.652 2.652 7.698 90.00 90.00 90.00
Sites, in units of the cell vectors:
Tc: 0.000 0.000 0.240
Tc: 0.000 0.000 0.760
Ni: 0.500 0.500 0.000
Rh: 0.500 0.500 0.500

=====

(13)
The following is a calculated XRD peak list of Pm2Dy2Sc. It was derived from a structure optimized by DFT (PBE), using Cu Kα.
Neutral-atom scattering factors, no anomalous dispersion.

Largest 10 diffraction maxima, in order of rising 2θ, 15 to 90 degrees two-theta:
- 25.46°, I = 31
- 28.09°, I = 26
- 29.86°, I = 19
- 31.72°, I = 59
- 32.01°, I = 100
- 32.18°, I = 23
- 34.48°, I = 33
- 34.90°, I = 43
- 41.50°, I = 23
- 56.69°, I = 21

Structure:
Lattice parameters (Å, degrees): 16.230 16.230 16.230 167.55 159.98 23.64
Sites, in units of the cell vectors:
Pm: 0.044 0.294 0.750
Pm: 0.437 0.187 0.250
Pm: 0.563 0.813 0.750
Pm: 0.956 0.706 0.250
Dy: 0.134 0.884 0.250
Dy: 0.230 0.980 0.250
Dy: 0.770 0.020 0.750
Dy: 0.866 0.116 0.750
Sc: 0.324 0.574 0.750
Sc: 0.676 0.426 0.250